(1)
# Ti3Zn2Pd2
Theoretical powder X-ray diffraction pattern, λ = 1.5418 Å (Cu Kα). Input: the PBE geometry in Alexandria.
Neutral-atom scattering factors, no anomalous dispersion.

Crystal structure
Cell: 6.824 6.824 6.824 Å, 37.81 37.81 37.81°
Positions (direct):
Ti1 0.000 0.000 0.000
Ti2 0.132 0.132 0.132
Ti3 0.868 0.868 0.868
Zn1 0.280 0.280 0.280
Zn2 0.720 0.720 0.720
Pd1 0.425 0.425 0.425
Pd2 0.575 0.575 0.575

Peak list (10 most intense, 10° ≤ 2θ ≤ 80°, low angle first)
- 2θ = 23.7°, d = 3.753 Å, rel. 98
- 2θ = 28.2°, d = 3.164 Å, rel. 73
- 2θ = 40.8°, d = 2.212 Å, rel. 1000
- 2θ = 47.7°, d = 1.905 Å, rel. 16
- 2θ = 50.4°, d = 1.812 Å, rel. 89
- 2θ = 59.1°, d = 1.564 Å, rel. 153
- 2θ = 64.6°, d = 1.443 Å, rel. 14
- 2θ = 68.8°, d = 1.364 Å, rel. 34
- 2θ = 74.2°, d = 1.278 Å, rel. 60
- 2θ = 74.3°, d = 1.277 Å, rel. 230

---

(2)
# InCu3Au4
Theoretical powder X-ray diffraction pattern, λ = 1.5418 Å (Cu Kα). Input: the PBE geometry in Alexandria.
Neutral-atom scattering factors, no anomalous dispersion.

Crystal structure
Cell: 8.186 8.186 4.132 Å, 104.27 104.27 29.23°
Positions (direct):
In1 0.000 0.000 0.000
Cu1 0.251 0.251 0.251
Cu2 0.500 0.500 0.500
Cu3 0.749 0.749 0.749
Au1 0.133 0.133 0.634
Au2 0.367 0.367 0.866
Au3 0.633 0.633 0.134
Au4 0.867 0.867 0.366

Peak list (10 most intense, 10° ≤ 2θ ≤ 80°, low angle first)
- 2θ = 23.2°, d = 3.830 Å, rel. 298
- 2θ = 30.6°, d = 2.921 Å, rel. 332
- 2θ = 38.7°, d = 2.328 Å, rel. 1000
- 2θ = 38.9°, d = 2.318 Å, rel. 991
- 2θ = 43.8°, d = 2.066 Å, rel. 725
- 2θ = 47.5°, d = 1.915 Å, rel. 271
- 2θ = 63.7°, d = 1.461 Å, rel. 236
- 2θ = 66.6°, d = 1.404 Å, rel. 183
- 2θ = 77.0°, d = 1.239 Å, rel. 133
- 2θ = 77.3°, d = 1.234 Å, rel. 139

---

(3)
# SrAs3Rh3
Theoretical powder X-ray diffraction pattern, λ = 1.5418 Å (Cu Kα). Input: the PBE geometry in Alexandria.
Neutral-atom scattering factors, no anomalous dispersion.

Crystal structure
Cell: 6.779 6.779 6.779 Å, 90.00 90.00 90.00°
Positions (direct):
Sr1 0.000 0.000 0.000
Sr2 0.500 0.500 0.500
As1 0.000 0.250 0.500
As2 0.000 0.750 0.500
As3 0.250 0.500 0.000
As4 0.500 0.000 0.250
As5 0.500 0.000 0.750
As6 0.750 0.500 0.000
Rh1 0.000 0.500 0.250
Rh2 0.000 0.500 0.750
Rh3 0.250 0.000 0.500
Rh4 0.500 0.250 0.000
Rh5 0.500 0.750 0.000
Rh6 0.750 0.000 0.500

Peak list (10 most intense, 10° ≤ 2θ ≤ 80°, low angle first)
- 2θ = 18.5°, d = 4.794 Å, rel. 253
- 2θ = 26.3°, d = 3.390 Å, rel. 430
- 2θ = 32.3°, d = 2.768 Å, rel. 1000
- 2θ = 42.2°, d = 2.144 Å, rel. 58
- 2θ = 46.4°, d = 1.957 Å, rel. 346
- 2θ = 50.4°, d = 1.812 Å, rel. 563
- 2θ = 54.1°, d = 1.695 Å, rel. 312
- 2θ = 61.1°, d = 1.516 Å, rel. 156
- 2θ = 64.5°, d = 1.445 Å, rel. 133
- 2θ = 77.0°, d = 1.238 Å, rel. 158

---

(4)
# LiY2Si3
Theoretical powder X-ray diffraction pattern, λ = 1.5418 Å (Cu Kα). Input: the PBE geometry in Alexandria.
Neutral-atom scattering factors, no anomalous dispersion.

Crystal structure
Cell: 8.158 8.096 5.703 Å, 70.04 68.88 41.08°
Positions (direct):
Li1 0.166 0.166 0.834
Li2 0.834 0.834 0.166
Y1 0.250 0.250 0.250
Y2 0.257 0.743 0.743
Y3 0.743 0.257 0.257
Y4 0.750 0.750 0.750
Si1 0.163 0.670 0.330
Si2 0.330 0.837 0.163
Si3 0.334 0.334 0.666
Si4 0.666 0.666 0.334
Si5 0.670 0.163 0.837
Si6 0.837 0.330 0.670

Peak list (10 most intense, 10° ≤ 2θ ≤ 80°, low angle first)
- 2θ = 22.4°, d = 3.970 Å, rel. 72
- 2θ = 25.2°, d = 3.537 Å, rel. 390
- 2θ = 33.9°, d = 2.641 Å, rel. 1000
- 2θ = 44.2°, d = 2.047 Å, rel. 112
- 2θ = 44.4°, d = 2.039 Å, rel. 221
- 2θ = 45.7°, d = 1.985 Å, rel. 100
- 2θ = 52.9°, d = 1.731 Å, rel. 97
- 2θ = 56.9°, d = 1.617 Å, rel. 144
- 2θ = 65.6°, d = 1.422 Å, rel. 133
- 2θ = 76.9°, d = 1.239 Å, rel. 85